# 1
The following is a theoretical powder diffraction line list of Ca3Zn2Cd3. It was derived from a structure optimized by DFT (PBE), using copper Kα.
Neutral-atom scattering factors, no anomalous dispersion.

The 8 most intense peaks (10 to 90 degrees two-theta), in order of rising 2θ:
Position (°2θ)	d [Å]	I_rel
18.15	4.887	40
21.89	4.060	37
30.59	2.923	42
31.51	2.839	39
34.08	2.631	61
35.63	2.520	100
38.54	2.336	64
42.71	2.117	36

Crystal structure
```
Ca3Zn2Cd3
1.0
8.313 0.000 0.000
0.000 16.444 0.000
0.000 0.000 6.042
Ca Zn Cd
12 8 12
direct
0.036 0.108 0.120 Ca
0.036 0.392 0.120 Ca
0.171 0.250 0.633 Ca
0.329 0.750 0.133 Ca
0.464 0.608 0.620 Ca
0.464 0.892 0.620 Ca
0.536 0.108 0.380 Ca
0.536 0.392 0.380 Ca
0.671 0.250 0.867 Ca
0.829 0.750 0.367 Ca
0.964 0.608 0.880 Ca
0.964 0.892 0.880 Ca
0.111 0.612 0.382 Zn
0.111 0.888 0.382 Zn
0.389 0.112 0.882 Zn
0.389 0.388 0.882 Zn
0.611 0.612 0.118 Zn
0.611 0.888 0.118 Zn
0.889 0.112 0.618 Zn
0.889 0.388 0.618 Zn
0.176 0.750 0.636 Cd
0.182 0.036 0.603 Cd
0.182 0.464 0.603 Cd
0.318 0.536 0.103 Cd
0.318 0.964 0.103 Cd
0.324 0.250 0.136 Cd
0.676 0.750 0.864 Cd
0.682 0.036 0.897 Cd
0.682 0.464 0.897 Cd
0.818 0.536 0.397 Cd
0.818 0.964 0.397 Cd
0.824 0.250 0.364 Cd
```

# 2
The following is a theoretical powder diffraction line list of CaZn2Cd3. It was derived from a structure optimized by DFT (PBE), using copper Kα.
Neutral-atom scattering factors, no anomalous dispersion.

The 8 most intense peaks (10 to 90 degrees two-theta), in order of rising 2θ:
Position (°2θ)	d [Å]	I_rel
14.17	6.249	40
32.58	2.748	29
33.70	2.660	99
34.22	2.620	100
38.53	2.337	24
39.11	2.303	66
40.58	2.223	25
42.46	2.129	40

Crystal structure
```
CaZn2Cd3
1.0
8.231 -2.303 0.000
8.231 2.303 0.000
-2.279 0.000 6.944
Ca Zn Cd
2 4 6
direct
0.119 0.119 0.180 Ca
0.881 0.881 0.820 Ca
0.234 0.234 0.666 Zn
0.486 0.486 0.162 Zn
0.514 0.514 0.838 Zn
0.766 0.766 0.334 Zn
0.065 0.065 0.693 Cd
0.307 0.307 0.073 Cd
0.370 0.370 0.503 Cd
0.630 0.630 0.497 Cd
0.693 0.693 0.927 Cd
0.935 0.935 0.307 Cd
```

# 3
The following is a theoretical powder diffraction line list of CaZnCd4. It was derived from a structure optimized by DFT (PBE), using copper Kα.
Neutral-atom scattering factors, no anomalous dispersion.

The 8 most intense peaks (10 to 90 degrees two-theta), in order of rising 2θ:
Position (°2θ)	d [Å]	I_rel
15.66	5.659	33
31.62	2.830	100
33.64	2.664	53
35.69	2.516	35
39.85	2.262	47
41.46	2.178	82
58.89	1.568	28
60.07	1.540	14

Crystal structure
```
CaZnCd4
1.0
2.176 -8.424 0.000
2.176 8.424 0.000
0.000 0.000 7.640
Ca Zn Cd
2 2 8
direct
0.123 0.877 0.750 Ca
0.877 0.123 0.250 Ca
0.239 0.761 0.250 Zn
0.761 0.239 0.750 Zn
0.071 0.929 0.250 Cd
0.321 0.679 0.555 Cd
0.321 0.679 0.945 Cd
0.500 0.500 0.000 Cd
0.500 0.500 0.500 Cd
0.679 0.321 0.055 Cd
0.679 0.321 0.445 Cd
0.929 0.071 0.750 Cd
```

# 4
The following is a theoretical powder diffraction line list of CaZn4Cd12. It was derived from a structure optimized by DFT (PBE), using copper Kα.
Neutral-atom scattering factors, no anomalous dispersion.

The 8 most intense peaks (10 to 90 degrees two-theta), in order of rising 2θ:
Position (°2θ)	d [Å]	I_rel
29.69	3.009	100
35.29	2.543	33
42.48	2.128	25
46.76	1.943	19
48.79	1.866	30
56.37	1.632	11
66.65	1.403	16
88.35	1.106	10

Crystal structure
```
CaZn4Cd12
1.0
-4.758 4.758 4.758
4.758 -4.758 4.758
4.758 4.758 -4.758
Ca Zn Cd
1 4 12
direct
0.000 0.000 0.000 Ca
0.000 0.000 0.500 Zn
0.000 0.500 0.000 Zn
0.500 0.000 0.000 Zn
0.500 0.500 0.500 Zn
0.156 0.502 0.346 Cd
0.156 0.810 0.654 Cd
0.190 0.346 0.844 Cd
0.346 0.156 0.502 Cd
0.346 0.844 0.190 Cd
0.498 0.654 0.844 Cd
0.502 0.346 0.156 Cd
0.654 0.156 0.810 Cd
0.654 0.844 0.498 Cd
0.810 0.654 0.156 Cd
0.844 0.190 0.346 Cd
0.844 0.498 0.654 Cd
```

# 5
The following is a theoretical powder diffraction line list of Ca4Zn3Cd. It was derived from a structure optimized by DFT (PBE), using copper Kα.
Neutral-atom scattering factors, no anomalous dispersion.

The 8 most intense peaks (10 to 90 degrees two-theta), in order of rising 2θ:
Position (°2θ)	d [Å]	I_rel
23.81	3.737	12
33.92	2.643	51
34.15	2.625	100
48.73	1.869	17
60.85	1.522	34
61.28	1.513	17
71.93	1.313	10
81.54	1.181	10

Crystal structure
```
Ca4Zn3Cd
1.0
3.689 0.000 0.000
0.000 5.290 0.000
0.000 0.000 10.560
Ca Zn Cd
4 3 1
direct
0.000 0.000 0.000 Ca
0.000 0.000 0.500 Ca
0.000 0.500 0.243 Ca
0.000 0.500 0.757 Ca
0.500 0.000 0.250 Zn
0.500 0.000 0.750 Zn
0.500 0.500 0.000 Zn
0.500 0.500 0.500 Cd
```

# 6
The following is a theoretical powder diffraction line list of Ca2Zn5Cd. It was derived from a structure optimized by DFT (PBE), using copper Kα.
Neutral-atom scattering factors, no anomalous dispersion.

The 8 most intense peaks (10 to 90 degrees two-theta), in order of rising 2θ:
Position (°2θ)	d [Å]	I_rel
20.79	4.272	56
32.36	2.767	100
34.01	2.636	71
35.76	2.511	64
38.17	2.358	50
40.79	2.212	87
44.14	2.052	49
44.32	2.044	49

Crystal structure
```
Ca2Zn5Cd
1.0
2.212 -8.204 0.000
2.212 8.204 0.000
0.000 0.000 9.311
Ca Zn Cd
4 10 2
direct
0.000 0.000 0.000 Ca
0.000 0.000 0.500 Ca
0.201 0.799 0.750 Ca
0.799 0.201 0.250 Ca
0.187 0.813 0.110 Zn
0.187 0.813 0.390 Zn
0.344 0.656 0.016 Zn
0.344 0.656 0.484 Zn
0.391 0.609 0.750 Zn
0.609 0.391 0.250 Zn
0.656 0.344 0.516 Zn
0.656 0.344 0.984 Zn
0.813 0.187 0.610 Zn
0.813 0.187 0.890 Zn
0.446 0.554 0.250 Cd
0.554 0.446 0.750 Cd
```